Starting from a structure optimized by DFT (PBE), the powder X-ray diffraction pattern of CaZnAu4 was calculated for Cu Kα (weighted mean of Kα1 and Kα2).
No peak broadening, texture or thermal motion is included.

Principal peaks in the range 2θ = 10–80°, low angle first:
two_theta  I/Imax
19.4  16
26.8  25
35.6  35
35.7  35
38.8  100
40.8  5
40.9  5
47.1  9
51.3  25
66.1  21
66.2  21
72.3  14

abc: 5.0311 9.1723 5.0466
angles: 90.00 90.00 90.00
Space group Pmna (No. 53)
Unique sites:
Ca1 0.0000 0.0000 0.0000 x2
Zn1 0.0000 0.5000 0.5000 x2
Au1 0.0000 0.1875 0.4964 x4
Au2 0.0000 0.3490 0.9957 x4